No. 1
NpCdFeO6: simulated powder XRD pattern (Cu Kα (weighted mean of Kα1 and Kα2)), based on a cell relaxed with GGA+U.
Neutral-atom scattering factors, no anomalous dispersion.

Crystal structure
```
data_NpCdFeO6
_cell_length_a 4.9458
_cell_length_b 4.9458
_cell_length_c 9.7078
_cell_angle_alpha 90.00
_cell_angle_beta 90.00
_cell_angle_gamma 90.00
_space_group_name_H-M_alt 'P 42 n m'
_space_group_IT_number 102
_space_group_name_Hall 'P 4n -2n'
loop_
_atom_site_label
_atom_site_fract_x
_atom_site_fract_y
_atom_site_fract_z
Np1 0.0000 0.0000 0.0000
Cd1 0.0000 0.0000 0.6665
Fe1 0.0000 0.0000 0.3356
O1 0.1778 0.1778 0.1668
O2 0.2082 0.2082 0.8537
O3 0.2093 0.2093 0.4838
```

Top 10 peaks for 2θ from 10° to 80°, in order of rising 2θ:
- hkl 0 0 2, 2θ 18.28, I = 14.8
- hkl 1 0 1, 2θ 20.15, I = 44.9
- hkl 1 1 0, 2θ 25.47, I = 100.0
- hkl 1 1 2, 2θ 31.53, I = 15.3
- hkl 1 0 3, 2θ 33.08, I = 82.4
- hkl 2 0 0, 2θ 36.33, I = 24.5
- hkl 2 1 3, 2θ 49.95, I = 66.6
- hkl 2 2 0, 2θ 52.32, I = 16.9
- hkl 3 1 0, 2θ 59.07, I = 16.3
- hkl 3 0 3, 2θ 63.32, I = 34.5

No. 2
CdFeO2: simulated powder XRD pattern (Cu Kα (weighted mean of Kα1 and Kα2)), based on a cell relaxed with GGA+U.
Neutral-atom scattering factors, no anomalous dispersion.

Crystal structure
```
data_CdFeO2
_cell_length_a 3.4214
_cell_length_b 6.8789
_cell_length_c 6.1479
_cell_angle_alpha 90.00
_cell_angle_beta 123.79
_cell_angle_gamma 90.00
_space_group_name_H-M_alt 'P 1 c 1'
_space_group_IT_number 7
_space_group_name_Hall 'P -2yc'
loop_
_atom_site_label
_atom_site_fract_x
_atom_site_fract_y
_atom_site_fract_z
Cd1 0.0000 0.1361 0.0000
Fe1 0.0130 0.3802 0.5112
O1 0.7400 0.3966 0.7390
O2 0.7785 0.1416 0.2787
```

Top 10 peaks for 2θ from 10° to 80°, in order of rising 2θ:
- hkl 0 1 1, 2θ 21.67, I = 14.3
- hkl 0 2 1, 2θ 31.35, I = 97.1
- hkl 1 0 0, 2θ 31.47, I = 100.0
- hkl 0 0 2, 2θ 35.13, I = 23.3
- hkl 1 2 -1, 2θ 37.06, I = 39.7
- hkl 1 2 1, 2θ 51.99, I = 57.5
- hkl 2 0 -2, 2θ 53.57, I = 13.5
- hkl 0 2 3, 2θ 60.68, I = 13.7
- hkl 1 4 0, 2θ 63.19, I = 22.6
- hkl 2 2 -1, 2θ 63.40, I = 23.0

- Which formula does entry 2 have?
  CdFeO2